The following is a computed X-ray powder pattern of Cu3Ag2. It was derived from a DFT-relaxed cell (GGA-PBE, OQMD), using λ = 1.5418 Å (Cu Kα).
No peak broadening, texture or thermal motion is included.

Atomic structure:
```
10
Lattice="2.7617 0.0000 0.0000 0.0000 2.7617 0.0000 0.0000 0.0000 18.6824" Properties=species:S:1:pos:R:3 pbc="T T T"
Cu 0.0000 0.0000 0.0000
Cu 0.0000 0.0000 3.1779
Cu 0.0000 0.0000 7.0660
Cu 0.0000 0.0000 14.7859
Cu 1.3809 1.3809 1.5824
Cu 1.3809 1.3809 13.1860
Ag 0.0000 0.0000 11.2480
Ag 1.3809 1.3809 5.1278
Ag 1.3809 1.3809 9.0004
Ag 1.3809 1.3809 16.7349
```

Peak list (10 most intense, 2θ = 10–80°, sorted by position)
Position (°2θ)	intensity
33.8	5
37.8	8
40.6	100
43.6	4
43.8	4
46.5	38
48.7	9
65.6	4
67.9	11
69.6	12

---

The following is a computed X-ray powder pattern of Cu5Ag3. It was derived from a DFT-relaxed cell (GGA-PBE, OQMD), using λ = 1.5418 Å (Cu Kα).
No peak broadening, texture or thermal motion is included.

Atomic structure:
```
8
Lattice="-1.8996 1.9357 7.7057 1.8996 -1.9357 7.7057 1.8996 1.9357 -7.7057" Properties=species:S:1:pos:R:3 pbc="T T T"
Cu 0.0000 0.0000 0.0000
Cu 0.0000 0.0000 3.8646
Cu 1.8996 0.0000 5.6833
Cu 0.0000 1.9357 2.0224
Cu 0.0000 0.0000 11.5468
Ag 1.8996 0.0000 2.0000
Ag 0.0000 0.0000 7.7057
Ag 0.0000 1.9357 5.7056
```

Peak list (10 most intense, 2θ = 10–80°, sorted by position)
Position (°2θ)	intensity
24.1	5
28.9	3
35.1	1
40.7	100
46.9	16
47.2	16
47.9	15
68.7	9
69.3	9
69.5	9

---

The following is a computed X-ray powder pattern of Cu5Ag2. It was derived from a DFT-relaxed cell (GGA-PBE, OQMD), using λ = 1.5418 Å (Cu Kα).
No peak broadening, texture or thermal motion is included.

Atomic structure:
```
7
Lattice="4.4020 -1.3646 0.0000 4.4020 1.3646 0.0000 -0.5378 0.0000 7.9333" Properties=species:S:1:pos:R:3 pbc="T T T"
Cu 0.0000 0.0000 0.0000
Cu 2.4728 0.0000 1.0023
Cu 3.3087 0.0000 5.8782
Cu 4.9576 0.0000 2.0551
Cu 5.7935 0.0000 6.9311
Ag 0.9086 0.0000 4.6515
Ag 7.3577 0.0000 3.2818
```

Peak list (10 most intense, 2θ = 10–80°, sorted by position)
Position (°2θ)	intensity
31.4	5
36.1	5
38.5	6
41.0	100
41.9	32
47.5	45
49.1	16
68.8	7
70.0	16
71.3	11

---

The following is a computed X-ray powder pattern of Cu5Ag3. It was derived from a DFT-relaxed cell (GGA-PBE, OQMD), using λ = 1.5418 Å (Cu Kα).
No peak broadening, texture or thermal motion is included.

Atomic structure:
```
8
Lattice="2.7600 0.0000 0.0000 0.0000 2.7544 7.4110 0.0000 -2.7544 7.4110" Properties=species:S:1:pos:R:3 pbc="T T T"
Cu 0.0000 0.0000 0.0000
Cu 0.0000 0.0000 3.4213
Cu 0.0000 0.0000 10.7419
Cu 1.3800 -1.4636 9.1917
Cu 1.3800 1.4636 9.1917
Ag 0.0000 0.0000 7.4252
Ag 1.3800 -1.4036 5.3167
Ag 1.3800 1.4036 5.3167
```

Peak list (10 most intense, 2θ = 10–80°, sorted by position)
Position (°2θ)	intensity
34.7	8
36.4	5
40.8	100
46.6	35
49.2	12
60.5	4
67.9	5
68.1	5
70.1	15
72.4	4